Starting from a crystal structure in Alexandria, relaxed with GGA-PBE, the powder diffractogram of Ti2ZnNi7Sb2 was computed for Cu Ka.
Neutral-atom scattering factors, no anomalous dispersion.

Most intense lines, 15° ≤ 2θ ≤ 90°, in order of rising 2θ:
2θ/deg  d (Å)  I/Imax
30.09  2.970  55
36.87  2.438  45
37.40  2.405  81
38.06  2.364  54
41.42  2.180  100
42.97  2.105  88
44.69  2.028  36
48.63  1.872  66
53.13  1.724  93
70.63  1.334  37

Cell and atoms:
a b c (Å): 14.819 14.819 14.819
angles (deg): 166.64 166.64 18.94
Positions (direct):
Ti (0.125, 0.125, 0.000)
Ti (0.875, 0.875, 0.000)
Zn (0.500, 0.500, 0.000)
Ni (0.000, 0.000, 0.000)
Ni (0.065, 0.565, 0.500)
Ni (0.226, 0.226, 0.000)
Ni (0.435, 0.935, 0.500)
Ni (0.565, 0.065, 0.500)
Ni (0.774, 0.774, 0.000)
Ni (0.935, 0.435, 0.500)
Sb (0.313, 0.313, 0.000)
Sb (0.687, 0.687, 0.000)